Entry 1:
For Dy2ThNbN4, a crystal structure in Alexandria, relaxed with GGA-PBE gives the computed XRD peak list in this record (CuKα).
Neutral-atom scattering factors, no anomalous dispersion.

Top 10 peaks for 10 to 90 degrees two-theta, in order of rising 2θ:
| 2θ (°) | d [Å] | I_rel |
| --- | --- | --- |
| 31.84 | 2.810 | 100.0 |
| 32.01 | 2.796 | 98.5 |
| 36.99 | 2.430 | 94.2 |
| 37.11 | 2.423 | 46.6 |
| 53.09 | 1.725 | 16.3 |
| 53.40 | 1.716 | 64.2 |
| 63.35 | 1.468 | 29.9 |
| 63.63 | 1.462 | 44.1 |
| 66.54 | 1.405 | 16.3 |
| 66.92 | 1.398 | 16.1 |

Structural model:
a = 5.944 Å, b = 3.424 Å, c = 5.952 Å
α = 90.00°, β = 109.09°, γ = 90.00°
Space group P2/m (No. 10)
One atom of each set of equivalent atoms:
Dy 0.000 0.000 0.000
Dy 0.500 0.500 0.000
Th 0.000 0.500 0.500
Nb 0.500 0.000 0.500
N 0.265 0.000 0.748
N 0.269 0.500 0.264

---

Entry 2:
For Ac6LaHo2, a crystal structure in Alexandria, relaxed with GGA-PBE gives the computed XRD peak list in this record (CuKα).
Neutral-atom scattering factors, no anomalous dispersion.

Top 10 peaks for 10 to 90 degrees two-theta, in order of rising 2θ:
| 2θ (°) | d [Å] | I_rel |
| --- | --- | --- |
| 25.99 | 3.429 | 17.5 |
| 27.93 | 3.194 | 100.0 |
| 28.19 | 3.166 | 23.9 |
| 28.84 | 3.096 | 35.8 |
| 28.98 | 3.081 | 60.2 |
| 29.22 | 3.057 | 43.7 |
| 29.86 | 2.992 | 16.6 |
| 29.99 | 2.979 | 36.8 |
| 32.20 | 2.780 | 17.5 |
| 39.42 | 2.286 | 21.6 |

Structural model:
a = 9.365 Å, b = 16.892 Å, c = 9.812 Å
α = 90.00°, β = 103.13°, γ = 90.00°
Space group C2/c (No. 15)
One atom of each set of equivalent atoms:
Ac 0.063 0.220 0.448
Ac 0.154 0.455 0.422
Ac 0.221 0.152 0.866
La 0.000 0.025 0.250
Ho 0.177 0.357 0.748

---

Entry 3:
For PrPbAu3, a crystal structure in Alexandria, relaxed with GGA-PBE gives the computed XRD peak list in this record (CuKα).
Neutral-atom scattering factors, no anomalous dispersion.

Top 10 peaks for 10 to 90 degrees two-theta, in order of rising 2θ:
| 2θ (°) | d [Å] | I_rel |
| --- | --- | --- |
| 24.74 | 3.599 | 18.9 |
| 32.54 | 2.752 | 100.0 |
| 33.25 | 2.695 | 47.3 |
| 37.16 | 2.420 | 82.6 |
| 38.08 | 2.363 | 44.9 |
| 42.68 | 2.118 | 25.1 |
| 50.29 | 1.814 | 20.4 |
| 51.43 | 1.777 | 28.1 |
| 64.16 | 1.452 | 34.1 |
| 64.78 | 1.439 | 19.3 |

Structural model:
a = 3.629 Å, b = 28.167 Å, c = 4.726 Å
α = 90.00°, β = 90.00°, γ = 90.00°
Space group Cmcm (No. 63)
One atom of each set of equivalent atoms:
Pr 0.000 0.075 0.250
Pb 0.000 0.212 0.750
Au 0.000 0.323 0.750
Au 0.000 0.378 0.250
Au 0.000 0.475 0.250

---

Entry 4:
For Ho2Zn5Ni5, a crystal structure in Alexandria, relaxed with GGA-PBE gives the computed XRD peak list in this record (CuKα).
Neutral-atom scattering factors, no anomalous dispersion.

Top 10 peaks for 10 to 90 degrees two-theta, in order of rising 2θ:
| 2θ (°) | d [Å] | I_rel |
| --- | --- | --- |
| 29.91 | 2.988 | 52.3 |
| 30.01 | 2.978 | 29.5 |
| 35.52 | 2.527 | 31.2 |
| 41.04 | 2.199 | 40.3 |
| 41.35 | 2.183 | 18.3 |
| 41.86 | 2.158 | 52.8 |
| 42.08 | 2.147 | 100.0 |
| 44.51 | 2.036 | 41.4 |
| 62.14 | 1.494 | 23.1 |
| 67.96 | 1.379 | 22.9 |

Structural model:
a = 4.071 Å, b = 5.091 Å, c = 8.734 Å
α = 90.00°, β = 90.00°, γ = 90.00°
Space group Pmmm (No. 47)
One atom of each set of equivalent atoms:
Ho 0.000 0.000 0.000
Ho 0.000 0.500 0.500
Zn 0.500 0.000 0.500
Zn 0.500 0.252 0.244
Ni 0.000 0.000 0.333
Ni 0.000 0.500 0.161
Ni 0.500 0.500 0.000

---

What did the second record say?
For Ac6LaHo2, a crystal structure in Alexandria, relaxed with GGA-PBE gives the computed XRD peak list in this record (CuKα).
Neutral-atom scattering factors, no anomalous dispersion.

Top 10 peaks for 10 to 90 degrees two-theta, in order of rising 2θ:
| 2θ (°) | d [Å] | I_rel |
| --- | --- | --- |
| 25.99 | 3.429 | 17.5 |
| 27.93 | 3.194 | 100.0 |
| 28.19 | 3.166 | 23.9 |
| 28.84 | 3.096 | 35.8 |
| 28.98 | 3.081 | 60.2 |
| 29.22 | 3.057 | 43.7 |
| 29.86 | 2.992 | 16.6 |
| 29.99 | 2.979 | 36.8 |
| 32.20 | 2.780 | 17.5 |
| 39.42 | 2.286 | 21.6 |

Structural model:
a = 9.365 Å, b = 16.892 Å, c = 9.812 Å
α = 90.00°, β = 103.13°, γ = 90.00°
Space group C2/c (No. 15)
One atom of each set of equivalent atoms:
Ac 0.063 0.220 0.448
Ac 0.154 0.455 0.422
Ac 0.221 0.152 0.866
La 0.000 0.025 0.250
Ho 0.177 0.357 0.748